Entry 1:
Na6Hf3MgSi2P4O24: simulated X-ray powder pattern (a wavelength of 1.5418 Å), based on the PBE geometry in the Materials Project.
Kinematic intensities with the Lorentz-polarization factor, no thermal factor.

Largest 10 diffraction maxima, most intense first, 2θ from 15° to 90°:
- 19.5 deg, rel. 1000
- 19.3 deg, rel. 349
- 19.6 deg, rel. 286
- 22.9 deg, rel. 274
- 31.2 deg, rel. 272
- 30.9 deg, rel. 262
- 31.0 deg, rel. 259
- 34.3 deg, rel. 235
- 34.2 deg, rel. 233
- 34.3 deg, rel. 220

Structure:
```
data_Na6Hf3MgSi2P4O24
_chemical_formula_sum 'Na6 Hf3 Mg1 Si2 P4 O24'
_symmetry_space_group_name_H-M 'P 1'
_symmetry_Int_Tables_number 1
_cell_length_a 9.0480
_cell_length_b 9.0672
_cell_length_c 9.0906
_cell_angle_alpha 119.30
_cell_angle_beta 90.51
_cell_angle_gamma 119.84
loop_
_symmetry_equiv_pos_as_xyz
'x,y,z'
loop_
_atom_site_label
_atom_site_type_symbol
_atom_site_fract_x
_atom_site_fract_y
_atom_site_fract_z
Na1 Na 0.0000 0.0000 0.0000
Na2 Na 0.1053 0.4900 0.2438
Na3 Na 0.2219 0.1142 0.6660
Na4 Na 0.4897 0.9845 0.4780
Na5 Na 0.7652 0.8900 0.2697
Na6 Na 0.8871 0.4642 0.7079
Hf1 Hf 0.3396 0.6925 0.0352
Hf2 Hf 0.6352 0.2755 0.9190
Hf3 Hf 0.8392 0.6957 0.5427
Mg1 Mg 0.1400 0.2766 0.4168
Si1 Si 0.0367 0.7829 0.2256
Si2 Si 0.9401 0.1854 0.7259
P1 P 0.2358 0.7702 0.7120
P2 P 0.4405 0.4802 0.2217
P3 P 0.5318 0.4880 0.7304
P4 P 0.7373 0.1937 0.2369
O1 O 0.0471 0.9682 0.2330
O2 O 0.0658 0.7774 0.7203
O3 O 0.1168 0.4031 0.9051
O4 O 0.1964 0.5803 0.5387
O5 O 0.2211 0.7861 0.2201
O6 O 0.2617 0.3451 0.2353
O7 O 0.2818 0.7657 0.8754
O8 O 0.3665 0.3603 0.5697
O9 O 0.3879 0.9715 0.7342
O10 O 0.4440 0.6554 0.2211
O11 O 0.4704 0.3539 0.0506
O12 O 0.5110 0.6246 0.9059
O13 O 0.5487 0.3283 0.7413
O14 O 0.5797 0.0013 0.2247
O15 O 0.6087 0.5996 0.3847
O16 O 0.6812 0.1949 0.0764
O17 O 0.7146 0.6286 0.7189
O18 O 0.7520 0.1708 0.7395
O19 O 0.7795 0.3916 0.4116
O20 O 0.8651 0.5564 0.0511
O21 O 0.9018 0.1841 0.2304
O22 O 0.9270 0.9945 0.7210
O23 O 0.9742 0.1870 0.5531
O24 O 0.9950 0.7758 0.4018
```


Entry 2:
USb3: simulated X-ray powder pattern (a wavelength of 1.5418 Å), based on the PBE geometry in the Materials Project.
Kinematic intensities with the Lorentz-polarization factor, no thermal factor.

Largest 10 diffraction maxima, most intense first, 2θ from 15° to 90°:
- 36.1 deg, rel. 1000
- 30.3 deg, rel. 356
- 57.6 deg, rel. 258
- 32.6 deg, rel. 218
- 67.0 deg, rel. 217
- 45.1 deg, rel. 178
- 58.2 deg, rel. 165
- 70.4 deg, rel. 148
- 22.1 deg, rel. 85
- 86.4 deg, rel. 85

Structure:
```
data_USb3
_chemical_formula_sum 'U2 Sb6'
_symmetry_space_group_name_H-M 'P 63/m m c'
_symmetry_Int_Tables_number 194
_symmetry_space_group_name_Hall '-P 6c 2c'
_cell_length_a 6.3425
_cell_length_b 6.3425
_cell_length_c 5.9057
_cell_angle_alpha 90.00
_cell_angle_beta 90.00
_cell_angle_gamma 120.00
loop_
_atom_site_label
_atom_site_type_symbol
_atom_site_fract_x
_atom_site_fract_y
_atom_site_fract_z
U1 U 0.3333 0.6667 0.2500
Sb1 Sb 0.1723 0.3446 0.7500
```


Copy entry 1 word for word.
Na6Hf3MgSi2P4O24: simulated X-ray powder pattern (a wavelength of 1.5418 Å), based on the PBE geometry in the Materials Project.
Kinematic intensities with the Lorentz-polarization factor, no thermal factor.

Largest 10 diffraction maxima, most intense first, 2θ from 15° to 90°:
- 19.5 deg, rel. 1000
- 19.3 deg, rel. 349
- 19.6 deg, rel. 286
- 22.9 deg, rel. 274
- 31.2 deg, rel. 272
- 30.9 deg, rel. 262
- 31.0 deg, rel. 259
- 34.3 deg, rel. 235
- 34.2 deg, rel. 233
- 34.3 deg, rel. 220

Structure:
```
data_Na6Hf3MgSi2P4O24
_chemical_formula_sum 'Na6 Hf3 Mg1 Si2 P4 O24'
_symmetry_space_group_name_H-M 'P 1'
_symmetry_Int_Tables_number 1
_cell_length_a 9.0480
_cell_length_b 9.0672
_cell_length_c 9.0906
_cell_angle_alpha 119.30
_cell_angle_beta 90.51
_cell_angle_gamma 119.84
loop_
_symmetry_equiv_pos_as_xyz
'x,y,z'
loop_
_atom_site_label
_atom_site_type_symbol
_atom_site_fract_x
_atom_site_fract_y
_atom_site_fract_z
Na1 Na 0.0000 0.0000 0.0000
Na2 Na 0.1053 0.4900 0.2438
Na3 Na 0.2219 0.1142 0.6660
Na4 Na 0.4897 0.9845 0.4780
Na5 Na 0.7652 0.8900 0.2697
Na6 Na 0.8871 0.4642 0.7079
Hf1 Hf 0.3396 0.6925 0.0352
Hf2 Hf 0.6352 0.2755 0.9190
Hf3 Hf 0.8392 0.6957 0.5427
Mg1 Mg 0.1400 0.2766 0.4168
Si1 Si 0.0367 0.7829 0.2256
Si2 Si 0.9401 0.1854 0.7259
P1 P 0.2358 0.7702 0.7120
P2 P 0.4405 0.4802 0.2217
P3 P 0.5318 0.4880 0.7304
P4 P 0.7373 0.1937 0.2369
O1 O 0.0471 0.9682 0.2330
O2 O 0.0658 0.7774 0.7203
O3 O 0.1168 0.4031 0.9051
O4 O 0.1964 0.5803 0.5387
O5 O 0.2211 0.7861 0.2201
O6 O 0.2617 0.3451 0.2353
O7 O 0.2818 0.7657 0.8754
O8 O 0.3665 0.3603 0.5697
O9 O 0.3879 0.9715 0.7342
O10 O 0.4440 0.6554 0.2211
O11 O 0.4704 0.3539 0.0506
O12 O 0.5110 0.6246 0.9059
O13 O 0.5487 0.3283 0.7413
O14 O 0.5797 0.0013 0.2247
O15 O 0.6087 0.5996 0.3847
O16 O 0.6812 0.1949 0.0764
O17 O 0.7146 0.6286 0.7189
O18 O 0.7520 0.1708 0.7395
O19 O 0.7795 0.3916 0.4116
O20 O 0.8651 0.5564 0.0511
O21 O 0.9018 0.1841 0.2304
O22 O 0.9270 0.9945 0.7210
O23 O 0.9742 0.1870 0.5531
O24 O 0.9950 0.7758 0.4018
```


Copy entry 2 word for word.
USb3: simulated X-ray powder pattern (a wavelength of 1.5418 Å), based on the PBE geometry in the Materials Project.
Kinematic intensities with the Lorentz-polarization factor, no thermal factor.

Largest 10 diffraction maxima, most intense first, 2θ from 15° to 90°:
- 36.1 deg, rel. 1000
- 30.3 deg, rel. 356
- 57.6 deg, rel. 258
- 32.6 deg, rel. 218
- 67.0 deg, rel. 217
- 45.1 deg, rel. 178
- 58.2 deg, rel. 165
- 70.4 deg, rel. 148
- 22.1 deg, rel. 85
- 86.4 deg, rel. 85

Structure:
```
data_USb3
_chemical_formula_sum 'U2 Sb6'
_symmetry_space_group_name_H-M 'P 63/m m c'
_symmetry_Int_Tables_number 194
_symmetry_space_group_name_Hall '-P 6c 2c'
_cell_length_a 6.3425
_cell_length_b 6.3425
_cell_length_c 5.9057
_cell_angle_alpha 90.00
_cell_angle_beta 90.00
_cell_angle_gamma 120.00
loop_
_atom_site_label
_atom_site_type_symbol
_atom_site_fract_x
_atom_site_fract_y
_atom_site_fract_z
U1 U 0.3333 0.6667 0.2500
Sb1 Sb 0.1723 0.3446 0.7500
```